Diffraction record for P3Au5. The powder XRD pattern is theoretical, not measured: it uses DFT lattice parameters and positions (GGA-PBE) and Cu Kα (weighted mean of Kα1 and Kα2).
No peak broadening, texture or thermal motion is included.

```
data_P3Au5
_space_group_name_H-M_alt 'P 1'
_space_group_IT_number 1
_cell_length_a 5.9515
_cell_length_b 7.2924
_cell_length_c 8.0819
_cell_angle_alpha 81.68
_cell_angle_beta 68.41
_cell_angle_gamma 66.63
loop_
_space_group_symop_operation_xyz
'x,y,z'
loop_
_atom_site_label
_atom_site_type_symbol
_atom_site_fract_x
_atom_site_fract_y
_atom_site_fract_z
P1 P 0.0000 0.0000 0.0000
P2 P 0.0077 0.4961 0.4865
P3 P 0.2850 0.4985 0.9271
P4 P 0.6249 0.9994 0.0007
P5 P 0.6363 0.4954 0.4878
P6 P 0.9177 0.4958 0.9255
Au1 Au 0.0911 0.7216 0.2153
Au2 Au 0.0940 0.9955 0.4415
Au3 Au 0.0956 0.2172 0.7133
Au4 Au 0.3166 0.7769 0.7145
Au5 Au 0.3182 0.2740 0.2184
Au6 Au 0.5913 0.9960 0.4480
Au7 Au 0.5962 0.7196 0.2161
Au8 Au 0.5991 0.2179 0.7158
Au9 Au 0.8156 0.2741 0.2188
Au10 Au 0.8170 0.7762 0.7162
```

Largest 8 diffraction maxima, sorted by position, 2θ = 10–90°:
23.68 deg, intensity 52.7, (0 0 2); 30.03 deg, intensity 48.8, (2 1 1); 35.91 deg, intensity 75.7, (0 2 -2); 35.96 deg, intensity 72.4, (0 2 2); 38.60 deg, intensity 100.0, (2 1 3); 40.30 deg, intensity 40.0, (2 -1 1); 40.83 deg, intensity 43.8, (2 3 1); 48.45 deg, intensity 32.2, (0 0 4)

Diffraction record for P3PbAu5. The powder XRD pattern is theoretical, not measured: it uses DFT lattice parameters and positions (GGA-PBE) and Cu Kα (weighted mean of Kα1 and Kα2).
No peak broadening, texture or thermal motion is included.

```
data_P3PbAu5
_space_group_name_H-M_alt 'I m m a'
_space_group_IT_number 74
_space_group_name_Hall '-I 2b 2'
_cell_length_a 5.3703
_cell_length_b 17.0538
_cell_length_c 8.4603
_cell_angle_alpha 90.00
_cell_angle_beta 90.00
_cell_angle_gamma 90.00
loop_
_atom_site_label
_atom_site_type_symbol
_atom_site_fract_x
_atom_site_fract_y
_atom_site_fract_z
P1 P 0.0000 0.0834 0.2363
P2 P 0.0000 0.2500 0.7600
Pb1 Pb 0.0000 0.2500 0.3916
Au1 Au 0.0000 0.0000 0.0000
Au2 Au 0.0000 0.1689 0.0092
Au3 Au 0.2500 0.0882 0.7500
```

Largest 8 diffraction maxima, sorted by position, 2θ = 10–90°:
18.81 deg, intensity 86.2, (0 3 1); 19.58 deg, intensity 86.8, (1 0 1); 35.97 deg, intensity 43.5, (1 0 3); 37.34 deg, intensity 100.0, (1 6 1); 38.15 deg, intensity 89.8, (0 6 2); 39.74 deg, intensity 83.9, (2 0 2); 49.54 deg, intensity 36.0, (2 3 3); 65.02 deg, intensity 42.5, (2 6 4)

Diffraction record for PPd6Au2. The powder XRD pattern is theoretical, not measured: it uses DFT lattice parameters and positions (GGA-PBE) and Cu Kα (weighted mean of Kα1 and Kα2).
No peak broadening, texture or thermal motion is included.

```
data_PPd6Au2
_space_group_name_H-M_alt 'P -6 2 m'
_space_group_IT_number 189
_space_group_name_Hall 'P -6 -2'
_cell_length_a 7.4541
_cell_length_b 7.4541
_cell_length_c 2.9755
_cell_angle_alpha 90.00
_cell_angle_beta 90.00
_cell_angle_gamma 120.00
loop_
_atom_site_label
_atom_site_type_symbol
_atom_site_fract_x
_atom_site_fract_y
_atom_site_fract_z
P1 P 0.0000 0.0000 0.0000
Pd1 Pd 0.0000 0.2484 0.5000
Pd2 Pd 0.0000 0.6266 0.0000
Au1 Au 0.3333 0.6667 0.5000
```

Largest 8 diffraction maxima, sorted by position, 2θ = 10–90°:
36.84 deg, intensity 52.2, (2 1 0); 38.72 deg, intensity 100.0, (1 1 1); 41.27 deg, intensity 40.6, (2 0 1); 41.99 deg, intensity 63.0, (3 0 0); 48.23 deg, intensity 34.2, (2 1 1); 71.11 deg, intensity 21.6, (3 2 1); 74.53 deg, intensity 27.9, (4 1 1); 78.10 deg, intensity 20.4, (3 0 2)

Diffraction record for P2PdAu2. The powder XRD pattern is theoretical, not measured: it uses DFT lattice parameters and positions (GGA-PBE) and Cu Kα (weighted mean of Kα1 and Kα2).
No peak broadening, texture or thermal motion is included.

```
data_P2PdAu2
_space_group_name_H-M_alt 'C 1 2 1'
_space_group_IT_number 5
_cell_length_a 8.4548
_cell_length_b 11.7695
_cell_length_c 4.4828
_cell_angle_alpha 90.00
_cell_angle_beta 121.54
_cell_angle_gamma 90.00
loop_
_space_group_symop_operation_xyz
'x,y,z'
'-x,y,-z'
'x+1/2,y+1/2,z'
'-x+1/2,y+1/2,-z'
loop_
_atom_site_label
_atom_site_type_symbol
_atom_site_fract_x
_atom_site_fract_y
_atom_site_fract_z
P1 P 0.2072 0.0000 0.4586
P2 P 0.2289 0.8148 0.4589
Pd1 Pd 0.1208 0.0428 0.8711
Au1 Au 0.0000 0.2729 0.0000
Au2 Au 0.0000 0.5295 0.5000
Au3 Au 0.1261 0.7542 0.8697
```

Largest 8 diffraction maxima, sorted by position, 2θ = 10–90°:
21.21 deg, intensity 39.4, (1 1 -1); 27.84 deg, intensity 68.0, (0 2 1); 30.38 deg, intensity 100.0, (0 4 0); 32.92 deg, intensity 49.3, (3 1 -1); 38.24 deg, intensity 37.6, (3 1 0); 39.57 deg, intensity 49.4, (3 3 -1); 42.85 deg, intensity 37.6, (1 1 -2); 44.21 deg, intensity 34.3, (3 3 0)

Diffraction record for PrP2Pt7Au2. The powder XRD pattern is theoretical, not measured: it uses DFT lattice parameters and positions (GGA-PBE) and Cu Kα (weighted mean of Kα1 and Kα2).
No peak broadening, texture or thermal motion is included.

```
data_PrP2Pt7Au2
_space_group_name_H-M_alt 'I 4/m m m'
_space_group_IT_number 139
_space_group_name_Hall '-I 4 2'
_cell_length_a 3.9932
_cell_length_b 3.9932
_cell_length_c 28.3365
_cell_angle_alpha 90.00
_cell_angle_beta 90.00
_cell_angle_gamma 90.00
loop_
_atom_site_label
_atom_site_type_symbol
_atom_site_fract_x
_atom_site_fract_y
_atom_site_fract_z
Pr1 Pr 0.0000 0.0000 0.0000
P1 P 0.0000 0.0000 0.3728
Pt1 Pt 0.0000 0.0000 0.2955
Pt2 Pt 0.0000 0.0000 0.5000
Pt3 Pt 0.0000 0.5000 0.0822
Au1 Au 0.0000 0.0000 0.2011
```

Largest 8 diffraction maxima, sorted by position, 2θ = 10–90°:
31.57 deg, intensity 48.5, (0 0 10); 32.33 deg, intensity 44.9, (1 1 2); 34.18 deg, intensity 66.9, (1 1 4); 37.10 deg, intensity 100.0, (1 1 6); 45.41 deg, intensity 87.0, (2 0 0); 50.38 deg, intensity 37.7, (1 1 12); 56.37 deg, intensity 38.7, (2 0 10); 78.39 deg, intensity 23.5, (3 1 6)

Diffraction record for Rb2PPtAu. The powder XRD pattern is theoretical, not measured: it uses DFT lattice parameters and positions (GGA-PBE) and Cu Kα (weighted mean of Kα1 and Kα2).
No peak broadening, texture or thermal motion is included.

```
data_Rb2PPtAu
_space_group_name_H-M_alt 'P 4/m m m'
_space_group_IT_number 123
_space_group_name_Hall '-P 4 2'
_cell_length_a 6.6374
_cell_length_b 6.6374
_cell_length_c 4.3378
_cell_angle_alpha 90.00
_cell_angle_beta 90.00
_cell_angle_gamma 90.00
loop_
_atom_site_label
_atom_site_type_symbol
_atom_site_fract_x
_atom_site_fract_y
_atom_site_fract_z
Rb1 Rb 0.0000 0.5000 0.0000
P1 P 0.0000 0.0000 0.0000
Pt1 Pt 0.0000 0.0000 0.5000
Au1 Au 0.5000 0.5000 0.5000
```

Largest 8 diffraction maxima, sorted by position, 2θ = 10–90°:
18.91 deg, intensity 27.2, (1 1 0); 26.86 deg, intensity 69.7, (2 0 0); 28.01 deg, intensity 100.0, (1 1 1); 38.36 deg, intensity 27.1, (2 2 0); 48.16 deg, intensity 46.0, (3 1 1); 50.25 deg, intensity 25.0, (2 0 2); 57.89 deg, intensity 16.4, (2 2 2); 78.01 deg, intensity 13.9, (4 2 2)

Diffraction record for SmP2Pt7Au. The powder XRD pattern is theoretical, not measured: it uses DFT lattice parameters and positions (GGA-PBE) and Cu Kα (weighted mean of Kα1 and Kα2).
No peak broadening, texture or thermal motion is included.

```
data_SmP2Pt7Au
_space_group_name_H-M_alt 'I -4 m 2'
_space_group_IT_number 119
_space_group_name_Hall 'I -4 -2'
_cell_length_a 4.0330
_cell_length_b 4.0330
_cell_length_c 29.1453
_cell_angle_alpha 90.00
_cell_angle_beta 90.00
_cell_angle_gamma 90.00
loop_
_atom_site_label
_atom_site_type_symbol
_atom_site_fract_x
_atom_site_fract_y
_atom_site_fract_z
Sm1 Sm 0.0000 0.0000 0.0000
P1 P 0.0000 0.0000 0.3800
Pt1 Pt 0.0000 0.0000 0.3064
Pt2 Pt 0.0000 0.0000 0.5000
Pt3 Pt 0.0000 0.5000 0.0767
Pt4 Pt 0.0000 0.5000 0.5767
Au1 Au 0.0000 0.5000 0.2500
```

Largest 8 diffraction maxima, sorted by position, 2θ = 10–90°:
22.25 deg, intensity 14.2, (1 0 1); 23.89 deg, intensity 20.7, (1 0 3); 26.88 deg, intensity 17.5, (1 0 5); 36.54 deg, intensity 100.0, (1 1 6); 44.45 deg, intensity 18.5, (1 1 10); 44.95 deg, intensity 39.7, (2 0 0); 65.46 deg, intensity 13.1, (2 2 0); 77.36 deg, intensity 23.4, (3 1 6)

Diffraction record for RbP12Au4. The powder XRD pattern is theoretical, not measured: it uses DFT lattice parameters and positions (GGA-PBE) and Cu Kα (weighted mean of Kα1 and Kα2).
No peak broadening, texture or thermal motion is included.

```
data_RbP12Au4
_space_group_name_H-M_alt 'R -3'
_space_group_IT_number 148
_space_group_name_Hall '-R 3'
_cell_length_a 11.9169
_cell_length_b 11.9169
_cell_length_c 8.0097
_cell_angle_alpha 90.00
_cell_angle_beta 90.00
_cell_angle_gamma 120.00
loop_
_atom_site_label
_atom_site_type_symbol
_atom_site_fract_x
_atom_site_fract_y
_atom_site_fract_z
Rb1 Rb 0.0000 0.0000 0.0000
P1 P 0.0335 0.8310 0.3349
P2 P 0.0457 0.4569 0.8420
Au1 Au 0.0000 0.0000 0.5000
Au2 Au 0.0000 0.5000 0.5000
```

Largest 8 diffraction maxima, sorted by position, 2θ = 10–90°:
20.47 deg, intensity 90.9, (0 2 1); 28.21 deg, intensity 100.0, (2 0 2); 29.99 deg, intensity 80.0, (2 2 0); 36.59 deg, intensity 32.3, (4 0 1); 41.64 deg, intensity 26.3, (0 4 2); 45.63 deg, intensity 47.6, (4 -2 3); 48.01 deg, intensity 41.4, (6 -4 1); 52.16 deg, intensity 38.5, (4 2 2)

Copy entry 1 word for word.
Diffraction record for P3Au5. The powder XRD pattern is theoretical, not measured: it uses DFT lattice parameters and positions (GGA-PBE) and Cu Kα (weighted mean of Kα1 and Kα2).
No peak broadening, texture or thermal motion is included.

```
data_P3Au5
_space_group_name_H-M_alt 'P 1'
_space_group_IT_number 1
_cell_length_a 5.9515
_cell_length_b 7.2924
_cell_length_c 8.0819
_cell_angle_alpha 81.68
_cell_angle_beta 68.41
_cell_angle_gamma 66.63
loop_
_space_group_symop_operation_xyz
'x,y,z'
loop_
_atom_site_label
_atom_site_type_symbol
_atom_site_fract_x
_atom_site_fract_y
_atom_site_fract_z
P1 P 0.0000 0.0000 0.0000
P2 P 0.0077 0.4961 0.4865
P3 P 0.2850 0.4985 0.9271
P4 P 0.6249 0.9994 0.0007
P5 P 0.6363 0.4954 0.4878
P6 P 0.9177 0.4958 0.9255
Au1 Au 0.0911 0.7216 0.2153
Au2 Au 0.0940 0.9955 0.4415
Au3 Au 0.0956 0.2172 0.7133
Au4 Au 0.3166 0.7769 0.7145
Au5 Au 0.3182 0.2740 0.2184
Au6 Au 0.5913 0.9960 0.4480
Au7 Au 0.5962 0.7196 0.2161
Au8 Au 0.5991 0.2179 0.7158
Au9 Au 0.8156 0.2741 0.2188
Au10 Au 0.8170 0.7762 0.7162
```

Largest 8 diffraction maxima, sorted by position, 2θ = 10–90°:
23.68 deg, intensity 52.7, (0 0 2); 30.03 deg, intensity 48.8, (2 1 1); 35.91 deg, intensity 75.7, (0 2 -2); 35.96 deg, intensity 72.4, (0 2 2); 38.60 deg, intensity 100.0, (2 1 3); 40.30 deg, intensity 40.0, (2 -1 1); 40.83 deg, intensity 43.8, (2 3 1); 48.45 deg, intensity 32.2, (0 0 4)